[1]
This entry pairs a crystal structure of BaNa3Tl9 with its computed powder diffraction line list. Radiation: Cu Kα. Structure: DFT lattice parameters and positions (PBE).
Kinematic intensities with the Lorentz-polarization factor, no thermal factor.

Atomic structure:
```
data_BaNa3Tl9
_cell_length_a 6.434
_cell_length_b 16.010
_cell_length_c 8.355
_cell_angle_alpha 90.00
_cell_angle_beta 112.23
_cell_angle_gamma 90.00
_space_group_name_H-M_alt 'C 1 2/m 1'
_space_group_IT_number 12
_space_group_name_Hall '-C 2y'
loop_
_atom_site_label
_atom_site_fract_x
_atom_site_fract_y
_atom_site_fract_z
_atom_site_occupancy
Ba1 0.000 0.000 0.000 1
Na1 0.000 0.000 0.500 1
Na2 0.250 0.250 0.000 1
Tl1 0.000 0.500 0.500 1
Tl2 0.112 0.391 0.216 1
Tl3 0.173 0.177 0.354 1
```

Main lines, most intense first (2θ from 10° to 90°):
Position (°2θ)  I/Imax  h k l
27.72  100  2 0 -1
31.75  77  1 5 -1
32.20  67  0 4 2
32.69  49  1 1 -3
35.81  44  2 4 -1
36.24  42  2 0 1
15.89  31  1 1 0
57.25  28  4 0 -2
11.44  25  0 0 1
35.89  25  1 5 -2


[2]
This entry pairs a crystal structure of BiTe2Pb2AuS3 with its computed powder diffraction line list. Radiation: Cu Kα. Structure: DFT lattice parameters and positions (PBE).
Kinematic intensities with the Lorentz-polarization factor, no thermal factor.

Atomic structure:
```
data_BiTe2Pb2AuS3
_cell_length_a 4.114
_cell_length_b 9.690
_cell_length_c 12.507
_cell_angle_alpha 90.00
_cell_angle_beta 90.00
_cell_angle_gamma 90.00
_space_group_name_H-M_alt 'P m n 21'
_space_group_IT_number 31
_space_group_name_Hall 'P 2ac -2'
loop_
_atom_site_label
_atom_site_fract_x
_atom_site_fract_y
_atom_site_fract_z
_atom_site_occupancy
Bi1 0.000 0.145 0.000 1
Te1 0.000 0.505 0.197 1
Te2 0.000 0.507 0.481 1
Pb1 0.000 0.172 0.330 1
Pb2 0.000 0.181 0.665 1
Au1 0.000 0.492 0.839 1
S1 0.000 0.873 0.999 1
S2 0.000 0.883 0.343 1
S3 0.000 0.886 0.658 1
```

Main lines, most intense first (2θ from 10° to 90°):
Position (°2θ)  I/Imax  h k l
31.93  100  1 1 3
27.62  68  0 3 0
35.83  58  1 2 3
23.23  39  0 1 3
23.49  35  1 1 0
52.75  33  2 3 0
43.38  32  0 0 6
48.79  31  1 4 3
52.22  23  0 3 6
44.02  23  2 0 0


[3]
This entry pairs a crystal structure of La2Pd3Au2 with its computed powder diffraction line list. Radiation: Cu Kα. Structure: DFT lattice parameters and positions (PBE).
Kinematic intensities with the Lorentz-polarization factor, no thermal factor.

Atomic structure:
```
data_La2Pd3Au2
_cell_length_a 8.615
_cell_length_b 8.615
_cell_length_c 8.615
_cell_angle_alpha 90.00
_cell_angle_beta 90.00
_cell_angle_gamma 90.00
_space_group_name_H-M_alt 'I 21 3'
_space_group_IT_number 199
_space_group_name_Hall 'I 2b 2c 3'
loop_
_atom_site_label
_atom_site_fract_x
_atom_site_fract_y
_atom_site_fract_z
_atom_site_occupancy
La1 0.004 0.496 0.504 1
Pd1 0.000 0.250 0.226 1
Au1 0.196 0.304 0.696 1
```

Main lines, most intense first (2θ from 10° to 90°):
Position (°2θ)  I/Imax  h k l
39.12  100  3 2 1
29.32  88  2 2 0
32.87  56  3 0 1
41.95  45  4 0 0
72.82  35  6 2 2
36.12  34  2 2 2
54.29  26  4 3 1
44.62  25  3 3 0
58.70  22  5 1 2
60.82  22  4 4 0


[4]
This entry pairs a crystal structure of AcY2Lu with its computed powder diffraction line list. Radiation: Cu Kα. Structure: DFT lattice parameters and positions (PBE).
Kinematic intensities with the Lorentz-polarization factor, no thermal factor.

Atomic structure:
```
data_AcY2Lu
_cell_length_a 3.6810
_cell_length_b 3.6810
_cell_length_c 35.1764
_cell_angle_alpha 90.00
_cell_angle_beta 90.00
_cell_angle_gamma 120.00
_space_group_name_H-M_alt 'R -3 m'
_space_group_IT_number 166
_space_group_name_Hall '-R 3 2"'
loop_
_atom_site_label
_atom_site_fract_x
_atom_site_fract_y
_atom_site_fract_z
_atom_site_occupancy
Ac1 0.0000 0.0000 0.0000 1
Y1 0.0000 0.0000 0.2461 1
Lu1 0.0000 0.0000 0.5000 1
```

Main lines, most intense first (2θ from 10° to 90°):
Position (°2θ)  I/Imax  h k l
29.81  100  1 0 4
34.76  66  0 1 8
30.50  31  0 0 12
59.28  28  1 1 12
49.53  25  1 1 0
50.42  22  1 0 16
15.11  21  0 0 6
28.45  15  0 1 2
58.88  15  0 2 4
60.08  13  0 1 20


[5]
This entry pairs a crystal structure of Ce4PaAs5 with its computed powder diffraction line list. Radiation: Cu Kα. Structure: DFT lattice parameters and positions (PBE).
Kinematic intensities with the Lorentz-polarization factor, no thermal factor.

Atomic structure:
```
data_Ce4PaAs5
_cell_length_a 9.371
_cell_length_b 9.371
_cell_length_c 5.924
_cell_angle_alpha 90.00
_cell_angle_beta 90.00
_cell_angle_gamma 90.00
_space_group_name_H-M_alt 'I 4/m'
_space_group_IT_number 87
_space_group_name_Hall '-I 4'
loop_
_atom_site_label
_atom_site_fract_x
_atom_site_fract_y
_atom_site_fract_z
_atom_site_occupancy
Ce1 0.098 0.699 0.000 1
Pa1 0.000 0.000 0.500 1
As1 0.000 0.000 0.000 1
As2 0.098 0.706 0.500 1
```

Main lines, most intense first (2θ from 10° to 90°):
Position (°2θ)  I/Imax  h k l
30.16  100  0 0 2
43.18  75  3 1 2
71.16  34  3 1 4
53.57  27  2 4 2
79.19  25  2 4 4
26.05  23  1 2 1
62.72  12  0 0 4
51.12  11  5 0 1
69.09  5  3 6 1
85.06  4  8 1 1


[6]
This entry pairs a crystal structure of Ce4AsOs2 with its computed powder diffraction line list. Radiation: Cu Kα. Structure: DFT lattice parameters and positions (PBE).
Kinematic intensities with the Lorentz-polarization factor, no thermal factor.

Atomic structure:
```
data_Ce4AsOs2
_cell_length_a 8.958
_cell_length_b 8.958
_cell_length_c 8.294
_cell_angle_alpha 90.00
_cell_angle_beta 90.00
_cell_angle_gamma 90.00
_space_group_name_H-M_alt 'I -4 2 d'
_space_group_IT_number 122
_space_group_name_Hall 'I -4 2bw'
loop_
_atom_site_label
_atom_site_fract_x
_atom_site_fract_y
_atom_site_fract_z
_atom_site_occupancy
Ce1 0.066 0.685 0.429 1
As1 0.000 0.000 0.500 1
Os1 0.136 0.750 0.125 1
```

Main lines, most intense first (2θ from 10° to 90°):
Position (°2θ)  I/Imax  h k l
31.58  100  3 1 0
31.85  85  3 0 1
33.94  62  1 0 3
37.80  54  3 2 1
39.61  48  2 1 3
38.49  34  3 1 2
52.24  27  4 3 1
49.31  26  3 2 3
54.87  26  3 1 4
64.24  19  6 1 1